Diffraction record for AcCe2Co. The powder XRD pattern is calculated, not measured: it uses a crystal structure in Alexandria, relaxed with GGA-PBE and λ = 1.5418 Å (Cu Kα).
Lines closer than 0.1° are merged.

```
data_AcCe2Co
_symmetry_space_group_name_H-M 'P n m a'
_symmetry_Int_Tables_number 62
_symmetry_space_group_name_Hall '-P 2ac 2n'
_cell_length_a 14.053
_cell_length_b 9.772
_cell_length_c 6.345
_cell_angle_alpha 90.00
_cell_angle_beta 90.00
_cell_angle_gamma 90.00
loop_
_atom_site_label
_atom_site_fract_x
_atom_site_fract_y
_atom_site_fract_z
_atom_site_occupancy
Ac1 0.101 0.250 0.240 1
Ac2 0.146 0.750 0.945 1
Ce1 0.039 0.067 0.734 1
Ce2 0.211 0.572 0.425 1
Co1 0.078 0.750 0.452 1
Co2 0.171 0.250 0.739 1
```

Top 10 peaks for 2θ from 15° to 90°, low angle first:
two_theta, d/Å, I (rel.), index
29.9, 2.984, 32, 3 2 1
30.5, 2.932, 35, 4 1 1
30.9, 2.896, 100, 0 3 1
31.4, 2.852, 68, 4 2 0
31.5, 2.838, 45, 1 3 1
32.3, 2.773, 100, 2 1 2
34.5, 2.602, 57, 4 2 1
36.1, 2.486, 28, 5 1 1
53.3, 1.720, 32, 2 3 3
56.4, 1.630, 47, 0 6 0